(1)
Theoretical powder diffraction line list
Compound: Tb3Ge4
Radiation: Cu Kα, 1.54184 Å
Structure: the GGA-PBE geometry in Alexandria
Kinematic intensities with the Lorentz-polarization factor, no thermal factor.

Structural model:
```
Tb3Ge4
1.0
2.0441 -5.3757 0.0000
2.0441 5.3757 0.0000
0.0000 0.0000 14.3339
Tb Ge
6 8
direct
0.0431 0.9569 0.7500
0.3289 0.6711 0.5973
0.3289 0.6711 0.9027
0.6711 0.3289 0.0973
0.6711 0.3289 0.4027
0.9569 0.0431 0.2500
0.0000 0.0000 0.0000
0.0000 0.0000 0.5000
0.2293 0.7707 0.2500
0.3822 0.6178 0.1083
0.3822 0.6178 0.3917
0.6178 0.3822 0.6083
0.6178 0.3822 0.8917
0.7707 0.2293 0.7500
```

Most intense lines, 10 to 90 degrees two-theta, low angle first:
- 2θ 24.93, I 20
- 2θ 26.43, I 24
- 2θ 29.95, I 53
- 2θ 33.25, I 83
- 2θ 33.92, I 37
- 2θ 34.31, I 100
- 2θ 37.65, I 25
- 2θ 38.35, I 39
- 2θ 42.00, I 36
- 2θ 44.31, I 36
- 2θ 74.49, I 19
- 2θ 75.09, I 20


(2)
Theoretical powder diffraction line list
Compound: TbTc6Ge8
Radiation: Cu Kα, 1.54184 Å
Structure: the GGA-PBE geometry in Alexandria
Kinematic intensities with the Lorentz-polarization factor, no thermal factor.

Structural model:
```
TbTc6Ge8
1.0
4.3706 2.5234 4.1475
-4.3706 2.5234 4.1475
0.0000 -5.0467 4.1475
Tb Tc Ge
1 6 8
direct
0.0000 0.0000 0.0000
0.2281 0.5799 0.4121
0.4121 0.2281 0.5799
0.4201 0.5879 0.7719
0.5799 0.4121 0.2281
0.5879 0.7719 0.4201
0.7719 0.4201 0.5879
0.0856 0.4293 0.7782
0.2218 0.9144 0.5707
0.2365 0.2365 0.2365
0.4293 0.7782 0.0856
0.5707 0.2218 0.9144
0.7635 0.7635 0.7635
0.7782 0.0856 0.4293
0.9144 0.5707 0.2218
```

Most intense lines, 10 to 90 degrees two-theta, low angle first:
- 2θ 13.69, I 27
- 2θ 29.70, I 32
- 2θ 32.10, I 63
- 2θ 34.50, I 51
- 2θ 35.58, I 44
- 2θ 38.07, I 40
- 2θ 42.95, I 55
- 2θ 43.69, I 50
- 2θ 47.00, I 100
- 2θ 52.59, I 17
- 2θ 61.65, I 16
- 2θ 75.33, I 26